This entry pairs a crystal structure of LiDy3In12 with its calculated X-ray powder pattern. Radiation: λ = 1.5418 Å (Cu Kα). Structure: DFT lattice parameters and positions (PBE).
Neutral-atom scattering factors, no anomalous dispersion.

Cell and atoms:
a b c (Å): 4.643 4.643 18.288
angles (deg): 90.00 90.00 90.00
Sites, in units of the cell vectors:
1 Li 0.000 0.000 0.000
2 Dy 0.000 0.000 0.246
3 Dy 0.000 0.000 0.500
4 Dy 0.000 0.000 0.754
5 In 0.000 0.500 0.117
6 In 0.000 0.500 0.373
7 In 0.000 0.500 0.627
8 In 0.000 0.500 0.883
9 In 0.500 0.000 0.117
10 In 0.500 0.000 0.373
11 In 0.500 0.000 0.627
12 In 0.500 0.000 0.883
13 In 0.500 0.500 0.000
14 In 0.500 0.500 0.248
15 In 0.500 0.500 0.500
16 In 0.500 0.500 0.752

Largest 6 diffraction maxima, in order of falling intensity, 2θ = 15–90°:
2θ = 33.6°, d = 2.667 Å, intensity 1000; 2θ = 38.8°, d = 2.321 Å, intensity 341; 2θ = 66.9°, d = 1.398 Å, intensity 260; 2θ = 56.5°, d = 1.629 Å, intensity 212; 2θ = 39.4°, d = 2.286 Å, intensity 155; 2θ = 56.0°, d = 1.641 Å, intensity 114

---

This entry pairs a crystal structure of Li2Dy3In5 with its calculated X-ray powder pattern. Radiation: λ = 1.5418 Å (Cu Kα). Structure: DFT lattice parameters and positions (PBE).
Neutral-atom scattering factors, no anomalous dispersion.

Cell and atoms:
a b c (Å): 10.332 10.332 4.392
angles (deg): 90.00 90.00 90.00
Sites, in units of the cell vectors:
1 Li 0.120 0.380 0.000
2 Li 0.380 0.880 0.000
3 Li 0.620 0.120 0.000
4 Li 0.880 0.620 0.000
5 Dy 0.000 0.000 0.000
6 Dy 0.174 0.674 0.000
7 Dy 0.326 0.174 0.000
8 Dy 0.500 0.500 0.000
9 Dy 0.674 0.826 0.000
10 Dy 0.826 0.326 0.000
11 In 0.000 0.500 0.500
12 In 0.075 0.212 0.500
13 In 0.212 0.925 0.500
14 In 0.288 0.425 0.500
15 In 0.425 0.712 0.500
16 In 0.500 0.000 0.500
17 In 0.575 0.288 0.500
18 In 0.712 0.575 0.500
19 In 0.788 0.075 0.500
20 In 0.925 0.788 0.500

Largest 6 diffraction maxima, in order of falling intensity, 2θ = 15–90°:
2θ = 34.2°, d = 2.622 Å, intensity 1000; 2θ = 28.0°, d = 3.184 Å, intensity 706; 2θ = 35.8°, d = 2.506 Å, intensity 470; 2θ = 31.9°, d = 2.809 Å, intensity 308; 2θ = 41.1°, d = 2.196 Å, intensity 282; 2θ = 39.0°, d = 2.310 Å, intensity 260

---

This entry pairs a crystal structure of LiPm2DyIn4 with its calculated X-ray powder pattern. Radiation: λ = 1.5418 Å (Cu Kα). Structure: DFT lattice parameters and positions (PBE).
Neutral-atom scattering factors, no anomalous dispersion.

Cell and atoms:
a b c (Å): 9.332 9.332 9.332
angles (deg): 32.78 32.78 32.78
Sites, in units of the cell vectors:
1 Li 0.000 0.000 0.000
2 Pm 0.255 0.255 0.255
3 Pm 0.745 0.745 0.745
4 Dy 0.500 0.500 0.500
5 In 0.124 0.124 0.124
6 In 0.375 0.375 0.375
7 In 0.625 0.625 0.625
8 In 0.876 0.876 0.876

Largest 6 diffraction maxima, in order of falling intensity, 2θ = 15–90°:
2θ = 33.5°, d = 2.678 Å, intensity 1000; 2θ = 34.0°, d = 2.634 Å, intensity 975; 2θ = 60.6°, d = 1.529 Å, intensity 354; 2θ = 48.5°, d = 1.878 Å, intensity 349; 2θ = 60.9°, d = 1.520 Å, intensity 195; 2θ = 59.4°, d = 1.555 Å, intensity 175

---

This entry pairs a crystal structure of Li2DySc2In2 with its calculated X-ray powder pattern. Radiation: λ = 1.5418 Å (Cu Kα). Structure: DFT lattice parameters and positions (PBE).
Neutral-atom scattering factors, no anomalous dispersion.

Cell and atoms:
a b c (Å): 8.872 8.872 8.872
angles (deg): 30.96 30.96 30.96
Sites, in units of the cell vectors:
1 Li 0.086 0.086 0.086
2 Li 0.914 0.914 0.914
3 Dy 0.500 0.500 0.500
4 Sc 0.368 0.368 0.368
5 Sc 0.632 0.632 0.632
6 In 0.243 0.243 0.243
7 In 0.757 0.757 0.757

Largest 6 diffraction maxima, in order of falling intensity, 2θ = 15–90°:
2θ = 35.8°, d = 2.506 Å, intensity 1000; 2θ = 38.0°, d = 2.368 Å, intensity 969; 2θ = 25.9°, d = 3.442 Å, intensity 951; 2θ = 22.0°, d = 4.048 Å, intensity 680; 2θ = 33.0°, d = 2.713 Å, intensity 580; 2θ = 53.2°, d = 1.721 Å, intensity 311

---

This entry pairs a crystal structure of Li4Dy3InSe8 with its calculated X-ray powder pattern. Radiation: λ = 1.5418 Å (Cu Kα). Structure: DFT lattice parameters and positions (PBE).
Neutral-atom scattering factors, no anomalous dispersion.

Cell and atoms:
a b c (Å): 8.014 8.014 8.014
angles (deg): 60.52 60.52 60.52
Sites, in units of the cell vectors:
1 Li 0.000 0.000 0.000
2 Li 0.000 0.500 0.500
3 Li 0.500 0.000 0.500
4 Li 0.500 0.500 0.000
5 Dy 0.000 0.000 0.500
6 Dy 0.000 0.500 0.000
7 Dy 0.500 0.000 0.000
8 In 0.500 0.500 0.500
9 Se 0.251 0.251 0.251
10 Se 0.252 0.252 0.743
11 Se 0.252 0.743 0.252
12 Se 0.257 0.748 0.748
13 Se 0.743 0.252 0.252
14 Se 0.748 0.257 0.748
15 Se 0.748 0.748 0.257
16 Se 0.749 0.749 0.749

Largest 6 diffraction maxima, in order of falling intensity, 2θ = 15–90°:
2θ = 31.4°, d = 2.845 Å, intensity 1000; 2θ = 44.9°, d = 2.019 Å, intensity 370; 2θ = 45.3°, d = 2.003 Å, intensity 361; 2θ = 25.9°, d = 3.443 Å, intensity 354; 2θ = 55.8°, d = 1.647 Å, intensity 192; 2θ = 34.4°, d = 2.607 Å, intensity 178

---

This entry pairs a crystal structure of Li2DyTm2In5 with its calculated X-ray powder pattern. Radiation: λ = 1.5418 Å (Cu Kα). Structure: DFT lattice parameters and positions (PBE).
Neutral-atom scattering factors, no anomalous dispersion.

Cell and atoms:
a b c (Å): 10.285 10.285 4.380
angles (deg): 90.00 90.00 90.00
Sites, in units of the cell vectors:
1 Li 0.120 0.380 0.000
2 Li 0.380 0.880 0.000
3 Li 0.620 0.120 0.000
4 Li 0.880 0.620 0.000
5 Dy 0.000 0.000 0.000
6 Dy 0.500 0.500 0.000
7 Tm 0.174 0.674 0.000
8 Tm 0.326 0.174 0.000
9 Tm 0.674 0.826 0.000
10 Tm 0.826 0.326 0.000
11 In 0.000 0.500 0.500
12 In 0.076 0.212 0.500
13 In 0.212 0.924 0.500
14 In 0.288 0.424 0.500
15 In 0.424 0.712 0.500
16 In 0.500 0.000 0.500
17 In 0.576 0.288 0.500
18 In 0.712 0.576 0.500
19 In 0.788 0.076 0.500
20 In 0.924 0.788 0.500

Largest 6 diffraction maxima, in order of falling intensity, 2θ = 15–90°:
2θ = 34.3°, d = 2.611 Å, intensity 1000; 2θ = 28.1°, d = 3.172 Å, intensity 730; 2θ = 36.0°, d = 2.495 Å, intensity 476; 2θ = 32.0°, d = 2.798 Å, intensity 300; 2θ = 41.2°, d = 2.190 Å, intensity 282; 2θ = 55.9°, d = 1.646 Å, intensity 264